Starting from a cell relaxed with GGA-PBE, the X-ray diffraction stick pattern of Cu2Bi3Sb3O14 was calculated for λ = 1.5418 Å (Cu Kα).
No peak broadening, texture or thermal motion is included.

Atomic structure:
Unit cell a=7.5229 b=7.5229 c=17.6137 alpha=90.00 beta=90.00 gamma=120.00
Space group R-3m (No. 166, hexagonal axes)
Unique sites:
Cu (0.0000, 0.0000, 0.0000) x3
Cu (0.0000, 0.0000, 0.5000) x3
Bi (0.0000, 0.5000, 0.0000) x9
Sb (0.0000, 0.5000, 0.5000) x9
O (0.0000, 0.0000, 0.3906) x6
O (0.0535, 0.5267, 0.6105) x18
O (0.0717, 0.5359, 0.8578) x18

The 8 most intense peaks (2θ = 10–80°), in order of falling intensity:
2theta, d/Å, I_rel, index
29.23, 3.055, 1000, 2 0 2
34.24, 2.619, 453, 0 2 4
48.40, 1.881, 312, 2 2 0
30.45, 2.936, 293, 0 0 6
50.00, 1.824, 278, 2 0 8
58.26, 1.584, 276, 2 2 6
57.55, 1.602, 153, 0 4 2
59.68, 1.549, 138, 0 2 10